Starting from a DFT-relaxed cell (PBE, the Materials Project), the X-ray powder pattern of SrAl2Ga2 was computed for λ = 1.5418 Å (Cu Kα).
Peak positions follow from Bragg's law for the DFT cell and can differ from measured ones.

Top 10 peaks for 5 to 70 degrees two-theta, most intense first:
d_spacing	2θ (°)	Rel. int.	index
2.834	31.57	100.0	1 0 3
2.721	32.92	72.0	1 1 2
3.123	28.59	68.6	1 1 0
2.208	40.87	66.5	2 0 0
1.981	45.80	52.6	1 0 5
1.742	52.54	46.3	2 1 3
1.475	63.04	39.6	2 1 5
1.561	59.18	21.8	2 2 0
1.354	69.40	16.0	3 1 2
2.073	43.67	15.7	1 1 4

Cell and atoms:
```
data_SrAl2Ga2
_chemical_formula_sum 'Sr2 Al4 Ga4'
_symmetry_space_group_name_H-M 'I 4/m m m'
_symmetry_Int_Tables_number 139
_symmetry_space_group_name_Hall '-I 4 2'
_cell_length_a 4.416
_cell_length_b 4.416
_cell_length_c 11.084
_cell_angle_alpha 90.00
_cell_angle_beta 90.00
_cell_angle_gamma 90.00
loop_
_atom_site_label
_atom_site_type_symbol
_atom_site_fract_x
_atom_site_fract_y
_atom_site_fract_z
Sr1 Sr 0.000 0.000 0.000
Al1 Al 0.000 0.500 0.250
Ga1 Ga 0.000 0.000 0.383
```

=====

Starting from a DFT-relaxed cell (PBE, the Materials Project), the X-ray powder pattern of TbAlGa was computed for λ = 1.5418 Å (Cu Kα).
Peak positions follow from Bragg's law for the DFT cell and can differ from measured ones.

Top 10 peaks for 5 to 70 degrees two-theta, most intense first:
d_spacing	2θ (°)	Rel. int.	index
2.644	33.90	100.0	1 0 1
2.223	40.58	45.3	1 1 0
3.850	23.10	38.1	1 0 0
1.702	53.88	26.6	2 0 1
1.351	69.58	24.5	2 1 1
1.408	66.41	20.8	1 1 2
1.819	50.16	8.1	0 0 2
1.645	55.91	7.1	1 0 2
1.925	47.21	5.9	2 0 0
1.455	63.97	4.7	2 1 0

Cell and atoms:
```
data_TbAlGa
_chemical_formula_sum 'Tb1 Al1 Ga1'
_symmetry_space_group_name_H-M 'P -6 m 2'
_symmetry_Int_Tables_number 187
_symmetry_space_group_name_Hall 'P -6 2'
_cell_length_a 4.4461
_cell_length_b 4.4461
_cell_length_c 3.6375
_cell_angle_alpha 90.00
_cell_angle_beta 90.00
_cell_angle_gamma 120.00
loop_
_atom_site_label
_atom_site_type_symbol
_atom_site_fract_x
_atom_site_fract_y
_atom_site_fract_z
Tb1 Tb 0.0000 0.0000 0.0000
Al1 Al 0.3333 0.6667 0.5000
Ga1 Ga 0.6667 0.3333 0.5000
```

=====

Starting from a DFT-relaxed cell (PBE, the Materials Project), the X-ray powder pattern of U2Al3Ga was computed for λ = 1.5418 Å (Cu Kα).
Peak positions follow from Bragg's law for the DFT cell and can differ from measured ones.

Top 10 peaks for 5 to 70 degrees two-theta, most intense first:
d_spacing	2θ (°)	Rel. int.	index
2.730	32.81	100.0	1 1 0
2.328	38.68	99.3	0 1 5
4.458	19.92	63.1	0 0 3
1.576	58.57	39.9	3 0 0
1.486	62.51	33.4	1 2 5
1.365	68.78	21.9	2 2 0
1.771	51.60	17.3	2 0 5
1.930	47.08	8.2	0 2 4
2.229	40.47	4.3	2 0 2
3.861	23.04	1.5	0 1 2

Cell and atoms:
```
data_U2Al3Ga
_chemical_formula_sum 'U6 Al9 Ga3'
_symmetry_space_group_name_H-M 'R -3 m'
_symmetry_Int_Tables_number 166
_symmetry_space_group_name_Hall '-R 3 2"'
_cell_length_a 5.4590
_cell_length_b 5.4590
_cell_length_c 13.3767
_cell_angle_alpha 90.00
_cell_angle_beta 90.00
_cell_angle_gamma 120.00
loop_
_atom_site_label
_atom_site_type_symbol
_atom_site_fract_x
_atom_site_fract_y
_atom_site_fract_z
U1 U 0.0000 0.0000 0.1241
Al1 Al 0.0000 0.5000 0.0000
Ga1 Ga 0.0000 0.0000 0.5000
```

=====

Starting from a DFT-relaxed cell (PBE, the Materials Project), the X-ray powder pattern of AlV6Ga was computed for λ = 1.5418 Å (Cu Kα).
Peak positions follow from Bragg's law for the DFT cell and can differ from measured ones.

Top 8 peaks for 5 to 70 degrees two-theta, most intense first:
d_spacing	2θ (°)	Rel. int.	index
2.146	42.10	100.0	2 0 1
1.959	46.34	72.0	2 1 1
2.400	37.48	34.1	2 0 0
4.799	18.49	9.3	1 0 0
1.385	67.62	6.2	2 2 2
2.771	32.31	4.6	1 1 1
1.600	57.62	2.5	3 0 0
1.447	64.38	1.3	3 1 1

Cell and atoms:
```
data_AlV6Ga
_chemical_formula_sum 'Al1 V6 Ga1'
_symmetry_space_group_name_H-M 'P m -3'
_symmetry_Int_Tables_number 200
_symmetry_space_group_name_Hall '-P 2 2 3'
_cell_length_a 4.799
_cell_length_b 4.799
_cell_length_c 4.799
_cell_angle_alpha 90.00
_cell_angle_beta 90.00
_cell_angle_gamma 90.00
loop_
_atom_site_label
_atom_site_type_symbol
_atom_site_fract_x
_atom_site_fract_y
_atom_site_fract_z
Al1 Al 0.000 0.000 0.000
V1 V 0.000 0.247 0.500
Ga1 Ga 0.500 0.500 0.500
```

=====

Starting from a DFT-relaxed cell (PBE, the Materials Project), the X-ray powder pattern of GdAl was computed for λ = 1.5418 Å (Cu Kα).
Peak positions follow from Bragg's law for the DFT cell and can differ from measured ones.

Top 10 peaks for 5 to 70 degrees two-theta, most intense first:
d_spacing	2θ (°)	Rel. int.	index
2.517	35.67	100.0	3 1 1
3.142	28.41	87.2	0 2 1
2.584	34.72	58.5	2 2 1
2.830	31.62	44.1	0 0 2
4.054	21.93	31.5	1 1 1
2.811	31.84	30.8	3 1 0
4.542	19.55	29.9	2 0 0
1.598	57.69	29.3	3 3 2
1.687	54.38	28.0	0 2 3
1.566	58.96	23.4	3 1 3

Cell and atoms:
```
data_GdAl
_chemical_formula_sum 'Gd8 Al8'
_symmetry_space_group_name_H-M 'C m c m'
_symmetry_Int_Tables_number 63
_symmetry_space_group_name_Hall '-C 2c 2'
_cell_length_a 9.084
_cell_length_b 7.555
_cell_length_c 5.660
_cell_angle_alpha 90.00
_cell_angle_beta 90.00
_cell_angle_gamma 90.00
loop_
_atom_site_label
_atom_site_type_symbol
_atom_site_fract_x
_atom_site_fract_y
_atom_site_fract_z
Gd1 Gd 0.180 0.156 0.250
Al1 Al 0.000 0.190 0.750
Al2 Al 0.000 0.500 0.000
```

=====

Starting from a DFT-relaxed cell (PBE, the Materials Project), the X-ray powder pattern of GdAl was computed for λ = 1.5418 Å (Cu Kα).
Peak positions follow from Bragg's law for the DFT cell and can differ from measured ones.

Top 6 peaks for 5 to 70 degrees two-theta, most intense first:
d_spacing	2θ (°)	Rel. int.	index
2.571	34.90	100.0	1 1 0
3.636	24.48	60.5	1 0 0
1.484	62.58	36.7	2 1 1
1.626	56.60	24.9	2 1 0
2.099	43.09	18.4	1 1 1
1.818	50.18	17.8	2 0 0

Cell and atoms:
```
data_GdAl
_chemical_formula_sum 'Gd1 Al1'
_symmetry_space_group_name_H-M 'P m -3 m'
_symmetry_Int_Tables_number 221
_symmetry_space_group_name_Hall '-P 4 2 3'
_cell_length_a 3.636
_cell_length_b 3.636
_cell_length_c 3.636
_cell_angle_alpha 90.00
_cell_angle_beta 90.00
_cell_angle_gamma 90.00
loop_
_atom_site_label
_atom_site_type_symbol
_atom_site_fract_x
_atom_site_fract_y
_atom_site_fract_z
Gd1 Gd 0.000 0.000 0.000
Al1 Al 0.500 0.500 0.500
```

=====

Starting from a DFT-relaxed cell (PBE, the Materials Project), the X-ray powder pattern of GdAl3 was computed for λ = 1.5418 Å (Cu Kα).
Peak positions follow from Bragg's law for the DFT cell and can differ from measured ones.

Top 10 peaks for 5 to 70 degrees two-theta, most intense first:
d_spacing	2θ (°)	Rel. int.	index
3.545	25.12	100.0	1 0 1
2.364	38.07	98.5	2 0 1
3.171	28.14	47.6	1 1 0
1.895	48.01	25.6	2 1 1
5.493	16.14	25.2	1 0 0
2.746	32.60	24.9	2 0 0
2.321	38.80	21.7	0 0 2
1.873	48.61	21.6	1 1 2
1.447	64.36	18.0	3 1 1
1.586	58.18	17.2	2 2 0

Cell and atoms:
```
data_GdAl3
_chemical_formula_sum 'Gd2 Al6'
_symmetry_space_group_name_H-M 'P 63/m m c'
_symmetry_Int_Tables_number 194
_symmetry_space_group_name_Hall '-P 6c 2c'
_cell_length_a 6.3426
_cell_length_b 6.3426
_cell_length_c 4.6415
_cell_angle_alpha 90.00
_cell_angle_beta 90.00
_cell_angle_gamma 120.00
loop_
_atom_site_label
_atom_site_type_symbol
_atom_site_fract_x
_atom_site_fract_y
_atom_site_fract_z
Gd1 Gd 0.3333 0.6667 0.2500
Al1 Al 0.1457 0.2915 0.7500
```

=====

Starting from a DFT-relaxed cell (PBE, the Materials Project), the X-ray powder pattern of GdAl2 was computed for λ = 1.5418 Å (Cu Kα).
Peak positions follow from Bragg's law for the DFT cell and can differ from measured ones.

Top 9 peaks for 5 to 70 degrees two-theta, most intense first:
d_spacing	2θ (°)	Rel. int.	index
2.798	31.99	100.0	2 2 0
2.386	37.70	99.8	3 1 1
4.569	19.43	62.3	1 1 1
1.615	57.01	38.8	4 2 2
1.523	60.82	32.8	5 1 1
1.399	66.88	21.6	4 4 0
1.816	50.25	16.3	3 3 1
1.979	45.86	8.0	4 0 0
2.285	39.44	4.5	2 2 2

Cell and atoms:
Lattice parameters (Å, degrees): 7.914 7.914 7.914 90.00 90.00 90.00
Space group Fd-3m (No. 227, origin choice 2)
Asymmetric unit:
Gd (0.125, 0.125, 0.125)
Al (0.000, 0.000, 0.500)

=====

Starting from a DFT-relaxed cell (PBE, the Materials Project), the X-ray powder pattern of GdAlGe was computed for λ = 1.5418 Å (Cu Kα).
Peak positions follow from Bragg's law for the DFT cell and can differ from measured ones.

Top 10 peaks for 5 to 70 degrees two-theta, most intense first:
d_spacing	2θ (°)	Rel. int.	index
2.751	32.55	100.0	1 1 2
2.407	37.36	45.3	1 0 5
3.186	28.00	41.8	1 0 3
2.098	43.12	33.9	2 0 0
1.581	58.35	24.6	2 1 5
1.877	48.49	22.2	1 0 7
1.399	66.88	16.8	2 1 7
3.674	24.22	15.6	0 0 4
1.752	52.21	15.0	2 1 3
4.034	22.03	13.7	1 0 1

Cell and atoms:
```
data_GdAlGe
_chemical_formula_sum 'Gd4 Al4 Ge4'
_symmetry_space_group_name_H-M 'I 41 m d'
_symmetry_Int_Tables_number 109
_symmetry_space_group_name_Hall 'I 4bw -2'
_cell_length_a 4.195
_cell_length_b 4.195
_cell_length_c 14.696
_cell_angle_alpha 90.00
_cell_angle_beta 90.00
_cell_angle_gamma 90.00
loop_
_atom_site_label
_atom_site_type_symbol
_atom_site_fract_x
_atom_site_fract_y
_atom_site_fract_z
Gd1 Gd 0.000 0.000 0.000
Al1 Al 0.000 0.000 0.584
Ge1 Ge 0.000 0.000 0.419
```

=====

Starting from a DFT-relaxed cell (PBE, the Materials Project), the X-ray powder pattern of GdAlGe was computed for λ = 1.5418 Å (Cu Kα).
Peak positions follow from Bragg's law for the DFT cell and can differ from measured ones.

Top 10 peaks for 5 to 70 degrees two-theta, most intense first:
d_spacing	2θ (°)	Rel. int.	index
2.667	33.60	100.0	1 3 0
3.190	27.97	75.4	1 1 1
2.310	38.99	70.3	1 1 2
2.399	37.49	67.7	0 4 1
2.901	30.82	64.8	0 0 2
2.423	37.10	64.3	1 3 1
1.558	59.31	53.3	2 4 1
3.819	23.29	52.3	1 1 0
1.963	46.24	43.9	1 3 2
2.049	44.21	38.5	2 0 0

Cell and atoms:
```
data_GdAlGe
_chemical_formula_sum 'Gd4 Al4 Ge4'
_symmetry_space_group_name_H-M 'C m c m'
_symmetry_Int_Tables_number 63
_symmetry_space_group_name_Hall '-C 2c 2'
_cell_length_a 4.097
_cell_length_b 10.539
_cell_length_c 5.802
_cell_angle_alpha 90.00
_cell_angle_beta 90.00
_cell_angle_gamma 90.00
loop_
_atom_site_label
_atom_site_type_symbol
_atom_site_fract_x
_atom_site_fract_y
_atom_site_fract_z
Gd1 Gd 0.000 0.188 0.250
Al1 Al 0.000 0.500 0.000
Ge1 Ge 0.000 0.105 0.750
```

=====

Starting from a DFT-relaxed cell (PBE, the Materials Project), the X-ray powder pattern of Gd2AlGe6 was computed for λ = 1.5418 Å (Cu Kα).
Peak positions follow from Bragg's law for the DFT cell and can differ from measured ones.

Top 10 peaks for 5 to 70 degrees two-theta, most intense first:
d_spacing	2θ (°)	Rel. int.	index
2.759	32.45	100.0	2 2 -2
2.435	36.91	31.7	2 2 2
2.162	41.78	23.6	0 4 0
2.698	33.20	22.6	0 2 3
2.097	43.15	20.7	4 0 -1
2.590	34.63	20.5	0 0 4
3.584	24.84	16.0	2 0 -2
1.659	55.38	12.9	0 4 4
3.319	26.86	12.4	0 2 2
1.505	61.62	12.3	4 4 -1

Cell and atoms:
```
data_Gd2AlGe6
_chemical_formula_sum 'Gd8 Al4 Ge24'
_symmetry_space_group_name_H-M 'C 1 2/m 1'
_symmetry_Int_Tables_number 12
_cell_length_a 8.386
_cell_length_b 8.648
_cell_length_c 10.577
_cell_angle_alpha 90.00
_cell_angle_beta 101.63
_cell_angle_gamma 90.00
loop_
_symmetry_equiv_pos_as_xyz
'x,y,z'
'-x,-y,-z'
'-x,y,-z'
'x,-y,z'
'x+1/2,y+1/2,z'
'-x+1/2,-y+1/2,-z'
'-x+1/2,y+1/2,-z'
'x+1/2,-y+1/2,z'
loop_
_atom_site_label
_atom_site_type_symbol
_atom_site_fract_x
_atom_site_fract_y
_atom_site_fract_z
Gd1 Gd 0.086 0.248 0.338
Al1 Al 0.200 0.000 0.803
Ge1 Ge 0.009 0.500 0.882
Ge2 Ge 0.069 0.000 0.117
Ge3 Ge 0.139 0.500 0.585
Ge4 Ge 0.147 0.000 0.561
Ge5 Ge 0.220 0.286 0.883
```

=====

Starting from a DFT-relaxed cell (PBE, the Materials Project), the X-ray powder pattern of GdAlGe2O7 was computed for λ = 1.5418 Å (Cu Kα).
Peak positions follow from Bragg's law for the DFT cell and can differ from measured ones.

Top 10 peaks for 5 to 70 degrees two-theta, most intense first:
d_spacing	2θ (°)	Rel. int.	index
3.219	27.72	100.0	2 0 0
2.982	29.96	96.2	1 2 -1
3.192	27.95	59.7	1 0 -4
5.665	15.64	49.5	0 0 2
2.832	31.59	46.6	0 0 4
2.694	33.26	36.0	1 2 1
1.890	48.16	35.4	3 2 -1
2.890	30.95	30.5	2 0 -4
1.781	51.29	28.6	3 2 -5
2.474	36.31	28.3	0 2 3

Cell and atoms:
```
data_GdAlGe2O7
_chemical_formula_sum 'Gd4 Al4 Ge8 O28'
_symmetry_space_group_name_H-M 'P 1 21/c 1'
_symmetry_Int_Tables_number 14
_cell_length_a 7.261
_cell_length_b 6.552
_cell_length_c 12.773
_cell_angle_alpha 90.00
_cell_angle_beta 117.56
_cell_angle_gamma 90.00
loop_
_symmetry_equiv_pos_as_xyz
'x,y,z'
'-x,-y,-z'
'-x,y+1/2,-z+1/2'
'x,-y+1/2,z+1/2'
loop_
_atom_site_label
_atom_site_type_symbol
_atom_site_fract_x
_atom_site_fract_y
_atom_site_fract_z
Gd1 Gd 0.242 0.146 0.472
Al1 Al 0.212 0.102 0.729
Ge1 Ge 0.211 0.657 0.452
Ge2 Ge 0.303 0.590 0.720
O1 O 0.009 0.657 0.916
O2 O 0.158 0.682 0.187
O3 O 0.205 0.055 0.866
O4 O 0.223 0.116 0.279
O5 O 0.248 0.001 0.074
O6 O 0.410 0.673 0.977
O7 O 0.426 0.124 0.695
```

=====

Copy entry 5 word for word.
Starting from a DFT-relaxed cell (PBE, the Materials Project), the X-ray powder pattern of GdAl was computed for λ = 1.5418 Å (Cu Kα).
Peak positions follow from Bragg's law for the DFT cell and can differ from measured ones.

Top 10 peaks for 5 to 70 degrees two-theta, most intense first:
d_spacing	2θ (°)	Rel. int.	index
2.517	35.67	100.0	3 1 1
3.142	28.41	87.2	0 2 1
2.584	34.72	58.5	2 2 1
2.830	31.62	44.1	0 0 2
4.054	21.93	31.5	1 1 1
2.811	31.84	30.8	3 1 0
4.542	19.55	29.9	2 0 0
1.598	57.69	29.3	3 3 2
1.687	54.38	28.0	0 2 3
1.566	58.96	23.4	3 1 3

Cell and atoms:
```
data_GdAl
_chemical_formula_sum 'Gd8 Al8'
_symmetry_space_group_name_H-M 'C m c m'
_symmetry_Int_Tables_number 63
_symmetry_space_group_name_Hall '-C 2c 2'
_cell_length_a 9.084
_cell_length_b 7.555
_cell_length_c 5.660
_cell_angle_alpha 90.00
_cell_angle_beta 90.00
_cell_angle_gamma 90.00
loop_
_atom_site_label
_atom_site_type_symbol
_atom_site_fract_x
_atom_site_fract_y
_atom_site_fract_z
Gd1 Gd 0.180 0.156 0.250
Al1 Al 0.000 0.190 0.750
Al2 Al 0.000 0.500 0.000
```